# 1
Starting from DFT lattice parameters and positions (GGA-PBE), the powder X-ray diffraction pattern of Na4SnTe4 was computed for copper Kα.
Kinematic intensities with the Lorentz-polarization factor, no thermal factor.

Main lines, sorted by position (10 to 90 degrees two-theta):
d/Å	2theta	I_rel	hkl
5.902	15.0	78.0	1 0 2
3.972	22.4	28.4	2 1 0
3.871	23.0	95.0	2 0 2
3.549	25.1	100.0	2 1 2
2.951	30.3	25.2	2 0 4
2.801	31.9	72.3	1 2 4
2.646	33.9	27.6	3 1 2
2.461	36.5	35.9	3 2 0
2.352	38.3	31.5	3 2 2
2.194	41.1	52.5	1 2 6
2.138	42.3	32.1	4 0 2
1.986	45.7	29.8	4 2 0

Structure:
```
Na4SnTe4
1.0
8.881 0.000 0.000
0.000 8.883 0.000
0.000 0.000 15.796
Na Sn Te
16 4 16
Direct
0.054 0.097 0.111
0.054 0.098 0.612
0.153 0.196 0.362
0.153 0.197 0.861
0.347 0.803 0.361
0.347 0.804 0.862
0.446 0.902 0.112
0.446 0.903 0.611
0.554 0.402 0.388
0.554 0.403 0.889
0.653 0.303 0.139
0.653 0.304 0.638
0.847 0.696 0.138
0.847 0.697 0.639
0.946 0.597 0.389
0.946 0.598 0.888
0.250 0.500 0.125
0.250 0.500 0.625
0.750 0.000 0.375
0.750 0.000 0.875
0.004 0.404 0.722
0.005 0.403 0.222
0.153 0.745 0.528
0.154 0.745 0.028
0.346 0.255 0.528
0.347 0.255 0.028
0.495 0.597 0.722
0.496 0.596 0.222
0.504 0.096 0.278
0.505 0.097 0.778
0.653 0.755 0.472
0.654 0.755 0.972
0.846 0.245 0.472
0.847 0.245 0.972
0.995 0.903 0.278
0.996 0.904 0.778
```


# 2
Starting from DFT lattice parameters and positions (GGA-PBE), the powder X-ray diffraction pattern of Cs2AcUTe6 was computed for copper Kα.
Kinematic intensities with the Lorentz-polarization factor, no thermal factor.

Main lines, sorted by position (10 to 90 degrees two-theta):
d/Å	2theta	I_rel	hkl
6.141	14.4	47.5	1 0 1
4.342	20.5	49.0	2 0 0
3.546	25.1	28.7	2 2 0
3.071	29.1	100.0	2 0 2
2.746	32.6	25.8	3 0 1
2.507	35.8	22.8	3 2 1
2.171	41.6	74.3	4 0 0
2.047	44.2	14.1	0 6 0
1.773	51.6	26.0	4 4 0
1.641	56.0	14.8	5 2 1
1.373	68.3	32.3	6 0 2
1.254	75.9	23.5	6 4 2

Structure:
```
Cs2AcUTe6
1.0
8.682 0.000 0.000
0.000 12.283 0.000
0.000 0.000 8.687
Cs Ac U Te
4 2 2 12
Direct
0.250 0.001 0.250
0.250 0.499 0.250
0.750 0.501 0.750
0.750 0.999 0.750
0.250 0.250 0.749
0.750 0.750 0.251
0.250 0.750 0.751
0.750 0.250 0.249
0.014 0.750 0.515
0.014 0.750 0.987
0.250 0.514 0.751
0.250 0.986 0.751
0.486 0.750 0.515
0.486 0.750 0.987
0.514 0.250 0.013
0.514 0.250 0.485
0.750 0.014 0.249
0.750 0.486 0.249
0.986 0.250 0.013
0.986 0.250 0.485
```